(1)
Diffraction record for TiV5Ga3. The PXRD pattern is theoretical, not measured: it uses a DFT-relaxed cell (GGA-PBE, Alexandria) and Cu Kα X-rays.

Structural model:
Cell: 7.569 7.569 7.569 Å, 126.90 126.90 78.41°
Atoms (fractional coordinates):
Ti (0.250, 0.750, 0.500)
Ti (0.750, 0.250, 0.500)
V (0.000, 0.000, 0.000)
V (0.071, 0.571, 0.925)
V (0.146, 0.071, 0.500)
V (0.354, 0.854, 0.925)
V (0.429, 0.354, 0.500)
V (0.500, 0.500, 0.000)
V (0.571, 0.646, 0.500)
V (0.646, 0.146, 0.075)
V (0.854, 0.929, 0.500)
V (0.929, 0.429, 0.075)
Ga (0.116, 0.384, 0.500)
Ga (0.250, 0.250, 0.000)
Ga (0.384, 0.884, 0.267)
Ga (0.616, 0.116, 0.733)
Ga (0.750, 0.750, 0.000)
Ga (0.884, 0.616, 0.500)

Principal peaks in the range 2θ from 10° to 90°, low angle first:
| 2θ/deg | intensity |
| --- | --- |
| 37.59 | 100 |
| 40.72 | 89 |
| 42.24 | 18 |
| 49.16 | 32 |
| 56.63 | 21 |
| 63.46 | 15 |
| 69.97 | 16 |
| 76.16 | 16 |
| 79.22 | 12 |
| 88.23 | 13 |

---

(2)
Diffraction record for TiVGa3. The PXRD pattern is theoretical, not measured: it uses a DFT-relaxed cell (GGA-PBE, Alexandria) and Cu Kα X-rays.

Structural model:
Cell: 3.899 6.076 6.805 Å, 90.00 90.00 90.00°
Atoms (fractional coordinates):
Ti (0.250, 0.250, 0.249)
Ti (0.750, 0.750, 0.751)
V (0.250, 0.750, 0.045)
V (0.750, 0.250, 0.955)
Ga (0.250, 0.042, 0.773)
Ga (0.250, 0.458, 0.773)
Ga (0.250, 0.750, 0.446)
Ga (0.750, 0.250, 0.554)
Ga (0.750, 0.542, 0.227)
Ga (0.750, 0.958, 0.227)

Principal peaks in the range 2θ from 10° to 90°, low angle first:
| 2θ/deg | intensity |
| --- | --- |
| 38.10 | 86 |
| 39.77 | 37 |
| 39.88 | 100 |
| 46.31 | 26 |
| 46.59 | 35 |
| 50.80 | 18 |
| 61.37 | 18 |
| 62.88 | 18 |
| 81.30 | 17 |
| 89.19 | 18 |

---

(3)
Diffraction record for Ti3V3Ga5. The PXRD pattern is theoretical, not measured: it uses a DFT-relaxed cell (GGA-PBE, Alexandria) and Cu Kα X-rays.

Structural model:
Cell: 5.139 5.162 6.805 Å, 99.54 97.83 101.34°
Atoms (fractional coordinates):
Ti (0.000, 0.000, 0.000)
Ti (0.185, 0.935, 0.589)
Ti (0.610, 0.392, 0.974)
V (0.107, 0.489, 0.792)
V (0.469, 0.858, 0.926)
V (0.593, 0.561, 0.614)
Ga (0.005, 0.353, 0.415)
Ga (0.201, 0.605, 0.172)
Ga (0.443, 0.172, 0.289)
Ga (0.718, 0.083, 0.658)
Ga (0.746, 0.790, 0.298)

Principal peaks in the range 2θ from 10° to 90°, low angle first:
| 2θ/deg | intensity |
| --- | --- |
| 36.69 | 58 |
| 40.21 | 78 |
| 40.66 | 90 |
| 40.95 | 100 |
| 41.40 | 64 |
| 41.54 | 46 |
| 41.87 | 71 |
| 43.17 | 43 |
| 43.31 | 66 |
| 44.05 | 78 |

---

(4)
Diffraction record for Ti6Ga3W. The PXRD pattern is theoretical, not measured: it uses a DFT-relaxed cell (GGA-PBE, Alexandria) and Cu Kα X-rays.

Structural model:
Cell: 6.683 6.683 6.683 Å, 60.00 60.00 60.00°
Atoms (fractional coordinates):
Ti (0.250, 0.250, 0.750)
Ti (0.250, 0.750, 0.250)
Ti (0.250, 0.750, 0.750)
Ti (0.750, 0.250, 0.250)
Ti (0.750, 0.250, 0.750)
Ti (0.750, 0.750, 0.250)
Ga (0.000, 0.000, 0.000)
Ga (0.250, 0.250, 0.250)
Ga (0.750, 0.750, 0.750)
W (0.500, 0.500, 0.500)

Principal peaks in the range 2θ from 10° to 90°, low angle first:
| 2θ/deg | intensity |
| --- | --- |
| 16.24 | 26 |
| 18.78 | 53 |
| 26.68 | 100 |
| 38.08 | 99 |
| 42.79 | 25 |
| 47.10 | 44 |
| 54.95 | 65 |
| 62.11 | 20 |
| 68.82 | 21 |
| 75.23 | 22 |